For Tl2VCdF6, DFT lattice parameters and positions (GGA+U) gives the calculated X-ray diffraction stick pattern in this record (Cu Kα (λ = 1.5418 Å)).

Cell and atoms:
a b c (Å): 6.188 6.199 8.772
angles (deg): 90.00 90.00 90.00
Space group Immm (No. 71)
Asymmetric unit:
1 Tl 0.000 0.000 0.250 x4
2 V 0.000 0.500 0.000 x2
3 Cd 0.000 0.500 0.500 x2
4 F 0.000 0.500 0.243 x4
5 F 0.243 0.258 0.000 x8

Top 10 peaks for 2θ = 5–70°, sorted by position:
hkl 1 1 0, 20.3 deg, I 15; hkl 2 0 0, 28.8 deg, I 100; hkl 2 0 2, 35.5 deg, I 17; hkl 2 2 0, 41.2 deg, I 32; hkl 3 1 0, 46.3 deg, I 8; hkl 3 1 2, 51.1 deg, I 42; hkl 2 2 4, 59.7 deg, I 17; hkl 4 0 0, 59.8 deg, I 3; hkl 3 1 4, 63.7 deg, I 3; hkl 3 3 2, 67.6 deg, I 15